[1]
ReH6CN3O4: calculated X-ray powder pattern (CuKα), based on a crystal structure in OQMD, relaxed with PBE.

The 8 most intense peaks (2θ = 10–90°), in order of rising 2θ:
6.189 Å, intensity 89; 4.745 Å, intensity 100; 4.042 Å, intensity 60; 4.009 Å, intensity 33; 3.966 Å, intensity 33; 3.559 Å, intensity 50; 3.543 Å, intensity 42; 3.155 Å, intensity 55

Structural model:
```
data_ReH6CN3O4
_space_group_name_H-M_alt 'P 1'
_space_group_IT_number 1
_space_group_name_Hall 'P 1'
_cell_length_a 4.827
_cell_length_b 7.495
_cell_length_c 8.311
_cell_angle_alpha 74.81
_cell_angle_beta 88.68
_cell_angle_gamma 79.76
loop_
_atom_site_label
_atom_site_type_symbol
_atom_site_fract_x
_atom_site_fract_y
_atom_site_fract_z
Re1 Re 0.001 0.255 0.185
Re2 Re 0.999 0.745 0.815
H1 H 0.179 0.606 0.256
H2 H 0.197 0.598 0.470
H3 H 0.305 0.105 0.582
H4 H 0.311 0.103 0.851
H5 H 0.479 0.765 0.073
H6 H 0.498 0.248 0.435
H7 H 0.502 0.752 0.565
H8 H 0.521 0.235 0.927
H9 H 0.689 0.897 0.149
H10 H 0.695 0.895 0.418
H11 H 0.803 0.402 0.530
H12 H 0.821 0.394 0.744
C1 C 0.452 0.752 0.321
C2 C 0.548 0.248 0.679
N1 N 0.277 0.629 0.353
N2 N 0.448 0.193 0.555
N3 N 0.469 0.179 0.835
N4 N 0.531 0.821 0.165
N5 N 0.552 0.807 0.445
N6 N 0.723 0.371 0.647
O1 O 0.067 0.973 0.731
O2 O 0.130 0.661 0.021
O3 O 0.145 0.601 0.688
O4 O 0.367 0.243 0.185
O5 O 0.633 0.757 0.815
O6 O 0.855 0.399 0.312
O7 O 0.870 0.339 0.979
O8 O 0.933 0.027 0.269
```

[2]
Hf3GaB2: calculated X-ray powder pattern (CuKα), based on a crystal structure in OQMD, relaxed with PBE.

The 8 most intense peaks (2θ = 10–90°), in order of rising 2θ:
2.884 Å, intensity 41; 2.521 Å, intensity 100; 2.512 Å, intensity 26; 2.359 Å, intensity 40; 1.772 Å, intensity 20; 1.682 Å, intensity 32; 1.452 Å, intensity 18; 1.398 Å, intensity 41

Structural model:
```
data_Hf3GaB2
_space_group_name_H-M_alt 'P 1'
_space_group_IT_number 1
_space_group_name_Hall 'P 1'
_cell_length_a 3.365
_cell_length_b 3.365
_cell_length_c 20.093
_cell_angle_alpha 90.00
_cell_angle_beta 90.00
_cell_angle_gamma 120.00
loop_
_atom_site_label
_atom_site_type_symbol
_atom_site_fract_x
_atom_site_fract_y
_atom_site_fract_z
Hf1 Hf 0.000 0.000 0.000
Hf2 Hf 0.000 0.000 0.500
Hf3 Hf 0.333 0.667 0.137
Hf4 Hf 0.333 0.667 0.363
Hf5 Hf 0.667 0.333 0.637
Hf6 Hf 0.667 0.333 0.863
Ga1 Ga 0.000 0.000 0.250
Ga2 Ga 0.000 0.000 0.750
B1 B 0.333 0.667 0.572
B2 B 0.333 0.667 0.928
B3 B 0.667 0.333 0.072
B4 B 0.667 0.333 0.428
```

[3]
Ho5P: calculated X-ray powder pattern (CuKα), based on a crystal structure in OQMD, relaxed with PBE.

The 8 most intense peaks (2θ = 10–90°), in order of rising 2θ:
3.808 Å, intensity 57; 2.972 Å, intensity 44; 2.909 Å, intensity 68; 2.844 Å, intensity 85; 2.730 Å, intensity 62; 2.655 Å, intensity 100; 2.644 Å, intensity 52; 2.428 Å, intensity 40

Structural model:
```
data_Ho5P
_space_group_name_H-M_alt 'P 1'
_space_group_IT_number 1
_space_group_name_Hall 'P 1'
_cell_length_a 6.779
_cell_length_b 6.779
_cell_length_c 10.627
_cell_angle_alpha 90.00
_cell_angle_beta 90.00
_cell_angle_gamma 126.34
loop_
_atom_site_label
_atom_site_type_symbol
_atom_site_fract_x
_atom_site_fract_y
_atom_site_fract_z
Ho1 Ho 0.147 0.853 0.533
Ho2 Ho 0.147 0.853 0.967
Ho3 Ho 0.198 0.303 0.750
Ho4 Ho 0.295 0.705 0.250
Ho5 Ho 0.303 0.198 0.250
Ho6 Ho 0.697 0.802 0.750
Ho7 Ho 0.705 0.295 0.750
Ho8 Ho 0.802 0.697 0.250
Ho9 Ho 0.853 0.147 0.033
Ho10 Ho 0.853 0.147 0.467
P1 P 0.256 0.744 0.750
P2 P 0.744 0.256 0.250
```